# 1
Structure and computed powder diffraction line list of Ta11Ni2Se8 (a cell relaxed with GGA-PBE; copper Kα).

Top 8 peaks for 10 to 90 degrees two-theta, sorted by position:
| h k l | 2θ/deg | I/Imax |
| --- | --- | --- |
| 1 2 0 | 11.62 | 88 |
| 1 4 1 | 32.69 | 54 |
| 3 0 1 | 34.35 | 47 |
| 1 5 1 | 35.53 | 100 |
| 3 3 1 | 37.07 | 45 |
| 2 5 1 | 37.88 | 44 |
| 3 7 0 | 39.13 | 58 |
| 4 2 1 | 40.89 | 96 |

Structure:
Cell: 12.0683 19.6318 3.4318 Å, 90.00 90.00 90.00°
Space group Pnnm (No. 58)
Asymmetric unit:
Ta 0.0000 0.0000 0.0000
Ta 0.0500 0.2424 0.0000
Ta 0.0624 0.1146 0.5000
Ta 0.1581 0.7874 0.5000
Ta 0.1726 0.3549 0.5000
Ta 0.1814 0.9493 0.5000
Ni 0.0932 0.8710 0.0000
Se 0.0436 0.6739 0.5000
Se 0.1068 0.4468 0.0000
Se 0.2084 0.0554 0.0000
Se 0.2137 0.2140 0.5000

# 2
Structure and computed powder diffraction line list of Zn2InAg (a cell relaxed with GGA-PBE; copper Kα).

Top 8 peaks for 10 to 90 degrees two-theta, sorted by position:
| h k l | 2θ/deg | I/Imax |
| --- | --- | --- |
| 1 0 0 | 18.46 | 10 |
| 0 2 0 | 31.26 | 42 |
| 2 0 0 | 37.42 | 32 |
| 1 1 2 | 40.10 | 100 |
| 2 2 0 | 49.53 | 22 |
| 1 3 2 | 61.66 | 16 |
| 3 1 2 | 69.32 | 18 |
| 2 2 4 | 86.58 | 9 |

Structure:
Cell: 4.8060 5.7235 5.6805 Å, 90.00 90.00 90.00°
Space group P222_1 (No. 17)
Asymmetric unit:
Zn 0.9999 0.0000 0.0000
Zn 0.0000 0.4743 0.2500
In 0.5000 0.0670 0.7500
Ag 0.4991 0.5000 0.0000

# 3
Structure and computed powder diffraction line list of Ta8Tl2C3N3 (a cell relaxed with GGA-PBE; copper Kα).

Top 8 peaks for 10 to 90 degrees two-theta, sorted by position:
| h k l | 2θ/deg | I/Imax |
| --- | --- | --- |
| 0 1 1 | 33.11 | 40 |
| 0 0 10 | 35.86 | 62 |
| 1 0 4 | 35.98 | 80 |
| 0 1 5 | 37.61 | 100 |
| 1 0 6 | 39.53 | 88 |
| 1 1 0 | 58.76 | 54 |
| 0 1 15 | 65.60 | 19 |
| 1 1 10 | 70.80 | 65 |

Structure:
Cell: 3.1429 3.1429 25.0406 Å, 90.00 90.00 120.00°
Space group P-3m1 (No. 164)
Asymmetric unit:
Ta 0.0000 0.0000 0.1515
Ta 0.0000 0.0000 0.3484
Ta 0.3333 0.6667 0.0534
Ta 0.3333 0.6667 0.4503
Tl 0.3333 0.6667 0.2504
C 0.0000 0.0000 0.0000
C 0.3333 0.6667 0.8956
N 0.0000 0.0000 0.5000
N 0.3333 0.6667 0.6011

# 4
Structure and computed powder diffraction line list of LaAlCdPt (a cell relaxed with GGA-PBE; copper Kα).

Top 8 peaks for 10 to 90 degrees two-theta, sorted by position:
| h k l | 2θ/deg | I/Imax |
| --- | --- | --- |
| 2 0 0 | 17.15 | 27 |
| 0 0 2 | 22.39 | 37 |
| 1 1 -1 | 24.81 | 40 |
| 1 1 2 | 31.85 | 91 |
| 3 1 -1 | 34.93 | 100 |
| 4 0 1 | 36.78 | 42 |
| 3 1 2 | 40.70 | 36 |
| 0 2 0 | 41.56 | 43 |

Structure:
Cell: 10.3402 4.3462 7.9441 Å, 90.00 91.11 90.00°
Space group C2/m (No. 12)
Asymmetric unit:
La 0.0633 0.0000 0.2610
Al 0.1531 0.5000 0.5587
Cd 0.1467 0.5000 0.9520
Pt 0.2204 0.0000 0.7156

# 5
Structure and computed powder diffraction line list of Tb2Co12P7 (a cell relaxed with GGA-PBE; copper Kα).

Top 8 peaks for 10 to 90 degrees two-theta, sorted by position:
| h k l | 2θ/deg | I/Imax |
| --- | --- | --- |
| 1 0 1 | 27.40 | 11 |
| 1 2 0 | 30.40 | 10 |
| 1 2 1 | 39.65 | 100 |
| 2 2 0 | 40.15 | 10 |
| 0 0 2 | 50.96 | 16 |
| 4 1 0 | 54.01 | 17 |
| 2 3 1 | 57.70 | 10 |
| 4 1 2 | 77.44 | 11 |

Structure:
Cell: 8.9836 8.9836 3.5837 Å, 90.00 90.00 120.00°
Space group P-6 (No. 174)
Asymmetric unit:
Tb 0.0000 0.0000 0.0000
Tb 0.3333 0.6667 0.5000
Co 0.0495 0.7675 0.5000
Co 0.0999 0.3932 0.0000
Co 0.3937 0.2145 0.0000
Co 0.5378 0.1038 0.5000
P 0.0731 0.6278 0.0000
P 0.2653 0.0423 0.5000
P 0.6667 0.3333 0.0000

# 6
Structure and computed powder diffraction line list of Gd5Mo3Au (a cell relaxed with GGA-PBE; copper Kα).

Top 8 peaks for 10 to 90 degrees two-theta, sorted by position:
| h k l | 2θ/deg | I/Imax |
| --- | --- | --- |
| 2 1 0 | 31.84 | 18 |
| 1 1 1 | 35.16 | 66 |
| 3 0 0 | 36.25 | 100 |
| 2 0 1 | 37.24 | 44 |
| 2 1 1 | 42.98 | 44 |
| 3 2 1 | 61.74 | 31 |
| 3 0 2 | 70.45 | 34 |
| 5 1 1 | 77.56 | 15 |

Structure:
Cell: 8.5852 8.5852 3.1749 Å, 90.00 90.00 120.00°
Space group P-62m (No. 189)
Asymmetric unit:
Gd 0.0000 0.2831 0.0000
Gd 0.3333 0.6667 0.0000
Mo 0.0000 0.6405 0.5000
Au 0.0000 0.0000 0.5000

# 7
Structure and computed powder diffraction line list of PdSe2 (a cell relaxed with GGA-PBE; copper Kα).

Top 8 peaks for 10 to 90 degrees two-theta, sorted by position:
| h k l | 2θ/deg | I/Imax |
| --- | --- | --- |
| 1 1 1 | 25.13 | 100 |
| 1 0 2 | 31.49 | 29 |
| 1 2 1 | 33.07 | 97 |
| 1 1 2 | 33.87 | 49 |
| 2 0 2 | 44.66 | 55 |
| 2 2 1 | 45.85 | 47 |
| 0 2 3 | 46.76 | 54 |
| 3 1 0 | 56.44 | 30 |

Structure:
Cell: 5.0200 7.2753 6.8932 Å, 90.00 90.00 90.00°
Space group Pbcn (No. 60)
Asymmetric unit:
Pd 0.0000 0.1437 0.2500
Se 0.2053 0.4096 0.0531

# 8
Structure and computed powder diffraction line list of KTeOsAuSe2 (a cell relaxed with GGA-PBE; copper Kα).

Top 8 peaks for 10 to 90 degrees two-theta, sorted by position:
| h k l | 2θ/deg | I/Imax |
| --- | --- | --- |
| 0 2 0 | 10.73 | 100 |
| 1 3 0 | 28.51 | 20 |
| 1 3 1 | 29.79 | 38 |
| 0 0 4 | 34.26 | 25 |
| 1 5 0 | 36.01 | 35 |
| 1 3 3 | 38.64 | 14 |
| 1 3 4 | 45.15 | 11 |
| 1 5 4 | 50.56 | 17 |

Structure:
Cell: 3.8081 16.4913 10.4706 Å, 90.00 90.00 90.00°
Space group Cmcm (No. 63)
Asymmetric unit:
K 0.0000 0.2432 0.2500
Te 0.0000 0.4436 0.7500
Os 0.0000 0.5000 0.0000
Au 0.0000 0.0941 0.7500
Se 0.0000 0.1011 0.5144

> What is the formula in the sixth record?

Gd5Mo3Au